Diffraction record for Li9Mn2Co5O16. The powder diffraction line list is simulated, not measured: it uses a DFT-relaxed cell (GGA+U, the Materials Project) and Cu Kα (λ = 1.5418 Å).
Neutral-atom scattering factors, no anomalous dispersion.

Atomic structure:
```
data_Li9Mn2Co5O16
_cell_length_a 10.2428
_cell_length_b 11.6313
_cell_length_c 5.1718
_cell_angle_alpha 90.00
_cell_angle_beta 110.30
_cell_angle_gamma 90.00
_symmetry_space_group_name_H-M 'C 1 2 1'
_symmetry_Int_Tables_number 5
_symmetry_space_group_name_Hall 'C 2y'
loop_
_atom_site_label
_atom_site_fract_x
_atom_site_fract_y
_atom_site_fract_z
_atom_site_occupancy
Li1 0.0000 0.9996 0.0000 1
Li2 0.0000 0.1204 0.5000 1
Li3 0.0000 0.3752 0.5000 1
Li4 0.0000 0.6274 0.5000 1
Li5 0.0000 0.8768 0.5000 1
Li6 0.2402 0.0000 0.4911 1
Li7 0.2458 0.7492 0.5026 1
Mn1 0.0000 0.2480 0.0000 1
Mn2 0.0000 0.5003 0.0000 1
Co1 0.0000 0.7561 0.0000 1
Co2 0.2440 0.8782 0.9994 1
Co3 0.2478 0.1244 0.0055 1
O1 0.1128 0.3756 0.2215 1
O2 0.1167 0.6186 0.2240 1
O3 0.1196 0.5001 0.7724 1
O4 0.1208 0.1352 0.2309 1
O5 0.1222 0.2527 0.7807 1
O6 0.1283 0.8683 0.2365 1
O7 0.1291 0.7464 0.7710 1
O8 0.1395 0.9994 0.7692 1
```

Top 12 peaks for 10 to 90 degrees two-theta, low angle first:
2θ = 11.9°, rel. 8, (1 1 0); 2θ = 18.3°, rel. 100, (0 0 1); 2θ = 35.5°, rel. 14, (4 0 -1); 2θ = 36.1°, rel. 27, (2 4 0); 2θ = 37.6°, rel. 8, (2 4 -1); 2θ = 42.8°, rel. 29, (4 0 -2); 2θ = 43.8°, rel. 54, (2 4 1); 2θ = 47.4°, rel. 9, (2 4 -2); 2θ = 57.7°, rel. 9, (2 4 2); 2θ = 62.6°, rel. 16, (2 4 -3); 2θ = 63.2°, rel. 22, (6 4 -1); 2θ = 64.0°, rel. 7, (0 8 0)

***

Diffraction record for CaCo2P2O10. The powder diffraction line list is simulated, not measured: it uses a DFT-relaxed cell (GGA+U, the Materials Project) and Cu Kα (λ = 1.5418 Å).
Neutral-atom scattering factors, no anomalous dispersion.

Atomic structure:
```
data_CaCo2P2O10
_cell_length_a 7.2555
_cell_length_b 11.6406
_cell_length_c 15.9804
_cell_angle_alpha 90.00
_cell_angle_beta 90.00
_cell_angle_gamma 90.00
_symmetry_space_group_name_H-M 'F d d d'
_symmetry_Int_Tables_number 70
loop_
_symmetry_equiv_pos_as_xyz
'x,y,z'
'-x,-y,-z'
'-x+1/4,-y+1/4,z'
'x+1/4,y+1/4,-z'
'x,-y+1/4,-z+1/4'
'-x,y+1/4,z+1/4'
'-x+1/4,y,-z+1/4'
'x+1/4,-y,z+1/4'
'x,y+1/2,z+1/2'
'-x,-y+1/2,-z+1/2'
'-x+1/4,-y+3/4,z+1/2'
'x+1/4,y+3/4,-z+1/2'
'x,-y+3/4,-z+3/4'
'-x,y+3/4,z+3/4'
'-x+1/4,y+1/2,-z+3/4'
'x+1/4,-y+1/2,z+3/4'
'x+1/2,y,z+1/2'
'-x+1/2,-y,-z+1/2'
'-x+3/4,-y+1/4,z+1/2'
'x+3/4,y+1/4,-z+1/2'
'x+1/2,-y+1/4,-z+3/4'
'-x+1/2,y+1/4,z+3/4'
'-x+3/4,y,-z+3/4'
'x+3/4,-y,z+3/4'
'x+1/2,y+1/2,z'
'-x+1/2,-y+1/2,-z'
'-x+3/4,-y+3/4,z'
'x+3/4,y+3/4,-z'
'x+1/2,-y+3/4,-z+1/4'
'-x+1/2,y+3/4,z+1/4'
'-x+3/4,y+1/2,-z+1/4'
'x+3/4,-y+1/2,z+1/4'
loop_
_atom_site_label
_atom_site_fract_x
_atom_site_fract_y
_atom_site_fract_z
_atom_site_occupancy
Ca1 0.1250 0.1250 0.1250 1
Co1 0.0000 0.0000 0.5000 1
P1 0.1250 0.1250 0.3331 1
O1 0.0453 0.3683 0.5253 1
O2 0.1120 0.0162 0.8606 1
O3 0.1250 0.1250 0.5378 1
```

Top 12 peaks for 10 to 90 degrees two-theta, low angle first:
2θ = 15.4°, rel. 21, (1 1 1); 2θ = 22.1°, rel. 29, (1 1 3); 2θ = 26.6°, rel. 66, (1 3 1); 2θ = 29.0°, rel. 36, (2 2 0); 2θ = 31.1°, rel. 100, (2 2 2); 2θ = 31.5°, rel. 88, (1 1 5); 2θ = 36.9°, rel. 24, (2 2 4); 2θ = 41.1°, rel. 17, (1 5 1); 2θ = 45.0°, rel. 24, (2 2 6); 2θ = 53.0°, rel. 26, (3 3 5); 2θ = 55.6°, rel. 24, (4 0 4); 2θ = 62.5°, rel. 15, (3 5 5)

***

Diffraction record for Fe2NF6. The powder diffraction line list is simulated, not measured: it uses a DFT-relaxed cell (GGA+U, the Materials Project) and Cu Kα (λ = 1.5418 Å).
Neutral-atom scattering factors, no anomalous dispersion.

Atomic structure:
```
data_Fe2NF6
_cell_length_a 7.2626
_cell_length_b 7.4382
_cell_length_c 10.2078
_cell_angle_alpha 90.00
_cell_angle_beta 90.00
_cell_angle_gamma 90.00
_symmetry_space_group_name_H-M 'P n m a'
_symmetry_Int_Tables_number 62
_symmetry_space_group_name_Hall '-P 2ac 2n'
loop_
_atom_site_label
_atom_site_fract_x
_atom_site_fract_y
_atom_site_fract_z
_atom_site_occupancy
Fe1 0.0000 0.0000 0.0000 1
Fe2 0.1955 0.2500 0.2777 1
N1 0.0099 0.2500 0.6282 1
F1 0.0425 0.2500 0.9471 1
F2 0.0671 0.7500 0.6812 1
F3 0.1347 0.0475 0.1608 1
F4 0.2284 0.5726 0.9089 1
```

Top 12 peaks for 10 to 90 degrees two-theta, low angle first:
2θ = 14.7°, rel. 100, (0 1 1); 2θ = 15.0°, rel. 87, (1 0 1); 2θ = 28.3°, rel. 38, (1 2 1); 2θ = 28.7°, rel. 22, (2 1 1); 2θ = 28.9°, rel. 13, (0 1 3); 2θ = 29.0°, rel. 20, (1 0 3); 2θ = 29.7°, rel. 33, (0 2 2); 2θ = 30.2°, rel. 23, (2 0 2); 2θ = 45.3°, rel. 12, (0 3 3); 2θ = 49.0°, rel. 10, (0 4 0); 2θ = 50.1°, rel. 18, (2 2 4); 2θ = 58.6°, rel. 9, (2 4 2)